(1)
The following is a computed powder diffraction line list of Dy2InSnPd4. It was derived from a structure optimized by DFT (GGA-PBE), using Cu Ka.

Atomic structure:
a b c (Å): 4.5888 4.5888 8.9413
angles (deg): 90.00 90.00 120.00
Space group P-3m1 (No. 164)
Asymmetric unit:
Dy 0.3333 0.6667 0.2501 (multiplicity 2)
In 0.0000 0.0000 0.5000 (multiplicity 1)
Sn 0.0000 0.0000 0.0000 (multiplicity 1)
Pd 0.3333 0.6667 0.5864 (multiplicity 2)
Pd 0.3333 0.6667 0.9126 (multiplicity 2)

Top 6 peaks for 2θ from 5° to 70°, most intense first:
| 2theta | I_rel | index |
| --- | --- | --- |
| 39.27 | 100.0 | 1 1 0 |
| 37.73 | 96.4 | 1 0 3 |
| 30.09 | 37.0 | 1 0 2 |
| 55.59 | 31.1 | 0 2 3 |
| 67.08 | 15.6 | 0 1 6 |
| 50.25 | 9.0 | 0 2 2 |


(2)
The following is a computed powder diffraction line list of Dy2YIn3Pd3. It was derived from a structure optimized by DFT (GGA-PBE), using Cu Ka.

Atomic structure:
a b c (Å): 3.834 13.375 7.704
angles (deg): 90.00 90.00 90.00
Space group Amm2 (No. 38)
Asymmetric unit:
Dy 0.000 0.204 0.000 (multiplicity 4)
Y 0.000 0.000 0.388 (multiplicity 2)
In 0.500 0.000 0.057 (multiplicity 2)
In 0.500 0.129 0.666 (multiplicity 4)
Pd 0.000 0.000 0.798 (multiplicity 2)
Pd 0.500 0.168 0.295 (multiplicity 4)

Top 6 peaks for 2θ from 5° to 70°, most intense first:
| 2theta | I_rel | index |
| --- | --- | --- |
| 32.94 | 100.0 | 1 0 2 |
| 35.65 | 92.3 | 1 2 2 |
| 35.55 | 51.0 | 0 5 1 |
| 40.52 | 42.2 | 0 3 3 |
| 42.89 | 27.1 | 1 5 1 |
| 65.57 | 24.2 | 1 7 3 |


(3)
The following is a computed powder diffraction line list of DyY2In3Pd3. It was derived from a structure optimized by DFT (GGA-PBE), using Cu Ka.

Atomic structure:
a b c (Å): 3.856 13.312 7.713
angles (deg): 90.00 90.00 90.00
Space group Amm2 (No. 38)
Asymmetric unit:
Dy 0.000 0.000 0.000 (multiplicity 2)
Y 0.000 0.204 0.613 (multiplicity 4)
In 0.500 0.000 0.666 (multiplicity 2)
In 0.500 0.130 0.280 (multiplicity 4)
Pd 0.000 0.000 0.407 (multiplicity 2)
Pd 0.500 0.165 0.910 (multiplicity 4)

Top 6 peaks for 2θ from 5° to 70°, most intense first:
| 2theta | I_rel | index |
| --- | --- | --- |
| 35.60 | 100.0 | 1 4 0 |
| 32.88 | 72.2 | 1 3 1 |
| 42.86 | 26.2 | 1 4 2 |
| 63.92 | 21.1 | 2 6 0 |
| 47.14 | 20.8 | 2 0 0 |
| 40.55 | 20.6 | 0 3 3 |


(4)
The following is a computed powder diffraction line list of Dy2In16Pt7. It was derived from a structure optimized by DFT (GGA-PBE), using Cu Ka.

Atomic structure:
a b c (Å): 12.262 20.219 4.433
angles (deg): 90.00 90.00 90.00
Space group Cmmm (No. 65)
Asymmetric unit:
Dy 0.170 0.000 0.000 (multiplicity 4)
In 0.000 0.073 0.500 (multiplicity 4)
In 0.124 0.163 0.000 (multiplicity 8)
In 0.131 0.387 0.000 (multiplicity 8)
In 0.132 0.500 0.500 (multiplicity 4)
In 0.136 0.277 0.500 (multiplicity 8)
Pt 0.000 0.276 0.000 (multiplicity 4)
Pt 0.000 0.500 0.000 (multiplicity 2)
Pt 0.223 0.108 0.500 (multiplicity 8)

Top 6 peaks for 2θ from 5° to 70°, most intense first:
| 2theta | I_rel | index |
| --- | --- | --- |
| 39.96 | 100.0 | 4 4 1 |
| 37.28 | 88.4 | 3 5 1 |
| 40.70 | 57.9 | 0 0 2 |
| 67.85 | 38.5 | 7 9 0 |
| 22.80 | 31.9 | 2 4 0 |
| 24.78 | 30.6 | 2 0 1 |


(5)
The following is a computed powder diffraction line list of DySc2In3Pt2. It was derived from a structure optimized by DFT (GGA-PBE), using Cu Ka.

Atomic structure:
a b c (Å): 3.455 13.158 7.571
angles (deg): 90.00 90.00 90.00
Space group Amm2 (No. 38)
Asymmetric unit:
Dy 0.000 0.000 0.000 (multiplicity 2)
Sc 0.000 0.211 0.368 (multiplicity 4)
In 0.500 0.000 0.351 (multiplicity 2)
In 0.500 0.119 0.694 (multiplicity 4)
Pt 0.500 0.172 0.082 (multiplicity 4)

Top 6 peaks for 2θ from 5° to 70°, most intense first:
| 2theta | I_rel | index |
| --- | --- | --- |
| 35.14 | 100.0 | 1 3 1 |
| 37.80 | 66.1 | 1 2 2 |
| 36.15 | 58.9 | 0 5 1 |
| 44.96 | 39.3 | 1 4 2 |
| 13.49 | 35.3 | 0 1 1 |
| 36.24 | 31.6 | 0 1 3 |


(6)
The following is a computed powder diffraction line list of DyTm2In3Pt2. It was derived from a structure optimized by DFT (GGA-PBE), using Cu Ka.

Atomic structure:
a b c (Å): 3.601 13.315 7.669
angles (deg): 90.00 90.00 90.00
Space group Amm2 (No. 38)
Asymmetric unit:
Dy 0.000 0.000 0.000 (multiplicity 2)
Tm 0.000 0.211 0.368 (multiplicity 4)
In 0.500 0.000 0.349 (multiplicity 2)
In 0.500 0.116 0.694 (multiplicity 4)
Pt 0.500 0.169 0.080 (multiplicity 4)

Top 6 peaks for 2θ from 5° to 70°, most intense first:
| 2theta | I_rel | index |
| --- | --- | --- |
| 34.14 | 100.0 | 1 0 2 |
| 35.73 | 69.4 | 0 5 1 |
| 36.79 | 69.3 | 1 2 2 |
| 13.31 | 27.5 | 0 2 0 |
| 63.56 | 25.6 | 2 5 1 |
| 40.71 | 19.1 | 0 3 3 |


(7)
The following is a computed powder diffraction line list of Dy4In5S13. It was derived from a structure optimized by DFT (GGA-PBE), using Cu Ka.

Atomic structure:
a b c (Å): 11.897 21.513 3.860
angles (deg): 90.00 90.00 90.00
Space group Pbam (No. 55)
Asymmetric unit:
Dy 0.018 0.175 0.000 (multiplicity 4)
Dy 0.177 0.340 0.000 (multiplicity 4)
In 0.000 0.500 0.000 (multiplicity 2)
In 0.154 0.992 0.500 (multiplicity 4)
In 0.158 0.668 0.500 (multiplicity 4)
S 0.000 0.000 0.000 (multiplicity 2)
S 0.003 0.407 0.500 (multiplicity 4)
S 0.085 0.263 0.500 (multiplicity 4)
S 0.148 0.864 0.500 (multiplicity 4)
S 0.153 0.115 0.500 (multiplicity 4)
S 0.165 0.740 0.000 (multiplicity 4)
S 0.204 0.473 0.000 (multiplicity 4)

Top 6 peaks for 2θ from 5° to 70°, most intense first:
| 2theta | I_rel | index |
| --- | --- | --- |
| 25.67 | 100.0 | 3 3 0 |
| 24.83 | 61.0 | 0 6 0 |
| 27.29 | 41.7 | 1 3 1 |
| 34.70 | 33.8 | 2 5 1 |
| 32.64 | 32.3 | 3 1 1 |
| 25.64 | 31.3 | 1 2 1 |


(8)
The following is a computed powder diffraction line list of Dy11In6Si4. It was derived from a structure optimized by DFT (GGA-PBE), using Cu Ka.

Atomic structure:
a b c (Å): 11.479 11.479 16.182
angles (deg): 90.00 90.00 90.00
Space group I4/mmm (No. 139)
Asymmetric unit:
Dy 0.000 0.000 0.169 (multiplicity 4)
Dy 0.000 0.250 0.315 (multiplicity 16)
Dy 0.000 0.348 0.101 (multiplicity 16)
Dy 0.167 0.167 0.500 (multiplicity 8)
In 0.129 0.129 0.000 (multiplicity 8)
In 0.206 0.206 0.171 (multiplicity 16)
Si 0.000 0.000 0.380 (multiplicity 4)
Si 0.000 0.347 0.500 (multiplicity 8)
Si 0.000 0.500 0.250 (multiplicity 4)

Top 6 peaks for 2θ from 5° to 70°, most intense first:
| 2theta | I_rel | index |
| --- | --- | --- |
| 32.67 | 100.0 | 3 2 3 |
| 33.12 | 78.4 | 3 3 0 |
| 36.35 | 21.3 | 3 0 5 |
| 65.89 | 20.6 | 7 2 5 |
| 28.60 | 17.4 | 3 0 3 |
| 56.77 | 13.9 | 4 4 6 |